Computed powder diffraction line list of SiMoPdCl2 for λ = 1.5418 Å (Cu Kα), from a GGA-PBE-relaxed structure.

Structural model:
```
data_SiMoPdCl2
_cell_length_a 4.6157
_cell_length_b 4.6157
_cell_length_c 5.1012
_cell_angle_alpha 90.00
_cell_angle_beta 90.00
_cell_angle_gamma 90.00
_space_group_name_H-M_alt 'P 4/m m m'
_space_group_IT_number 123
_space_group_name_Hall '-P 4 2'
loop_
_atom_site_label
_atom_site_fract_x
_atom_site_fract_y
_atom_site_fract_z
_atom_site_occupancy
Si1 0.0000 0.0000 0.0000 1
Mo1 0.0000 0.0000 0.5000 1
Pd1 0.5000 0.5000 0.0000 1
Cl1 0.0000 0.5000 0.5000 1
```

The 10 most intense peaks (2θ = 5–70°), low angle first:
Position (°2θ)	I_rel	hkl
26.03	100	1 0 1
27.33	37	1 1 0
32.57	22	1 1 1
35.19	34	0 0 2
39.03	50	2 0 0
45.11	19	1 1 2
47.52	38	2 1 1
53.55	38	2 0 2
56.38	16	2 2 0
68.23	18	2 2 2



Computed powder diffraction line list of SiMo2PdCl for λ = 1.5418 Å (Cu Kα), from a GGA-PBE-relaxed structure.

Structural model:
```
data_SiMo2PdCl
_cell_length_a 4.6212
_cell_length_b 4.6212
_cell_length_c 4.5737
_cell_angle_alpha 90.00
_cell_angle_beta 90.00
_cell_angle_gamma 90.00
_space_group_name_H-M_alt 'P 4/m m m'
_space_group_IT_number 123
_space_group_name_Hall '-P 4 2'
loop_
_atom_site_label
_atom_site_fract_x
_atom_site_fract_y
_atom_site_fract_z
_atom_site_occupancy
Si1 0.0000 0.0000 0.0000 1
Mo1 0.0000 0.5000 0.0000 1
Pd1 0.5000 0.5000 0.5000 1
Cl1 0.0000 0.0000 0.5000 1
```

The 10 most intense peaks (2θ = 5–70°), low angle first:
Position (°2θ)	I_rel	hkl
19.41	7	0 0 1
27.44	18	1 0 1
33.71	100	1 1 1
38.98	46	2 0 0
39.40	22	0 0 2
48.33	8	2 1 1
56.31	15	2 2 0
56.63	30	2 0 2
67.26	25	3 1 1
67.83	12	1 1 3



Computed powder diffraction line list of RbTlMoCl6 for λ = 1.5418 Å (Cu Kα), from a GGA-PBE-relaxed structure.

Structural model:
```
data_RbTlMoCl6
_cell_length_a 7.7659
_cell_length_b 7.7659
_cell_length_c 11.5168
_cell_angle_alpha 90.00
_cell_angle_beta 90.00
_cell_angle_gamma 120.00
_space_group_name_H-M_alt 'P -3 1 c'
_space_group_IT_number 163
_space_group_name_Hall '-P 3 2c'
loop_
_atom_site_label
_atom_site_fract_x
_atom_site_fract_y
_atom_site_fract_z
_atom_site_occupancy
Rb1 0.3333 0.6667 0.2500 1
Tl1 0.0000 0.0000 0.0000 1
Mo1 0.3333 0.6667 0.7500 1
Cl1 0.0840 0.4116 0.6288 1
```

The 10 most intense peaks (2θ = 5–70°), low angle first:
Position (°2θ)	I_rel	hkl
20.30	100	1 0 2
22.90	41	1 1 0
27.70	13	2 -1 2
30.79	35	2 0 2
38.72	40	2 1 2
38.94	46	1 1 4
40.23	21	3 0 0
51.50	17	3 1 2
57.23	14	4 -2 4
60.43	11	3 -1 6



Computed powder diffraction line list of Rb2TlMoCl6 for λ = 1.5418 Å (Cu Kα), from a GGA-PBE-relaxed structure.

Structural model:
```
data_Rb2TlMoCl6
_cell_length_a 7.3534
_cell_length_b 10.9502
_cell_length_c 8.4507
_cell_angle_alpha 90.00
_cell_angle_beta 90.00
_cell_angle_gamma 90.00
_space_group_name_H-M_alt 'P m m n'
_space_group_IT_number 59
loop_
_space_group_symop_operation_xyz
'x,y,z'
'-x,-y,-z'
'-x+1/2,-y+1/2,z'
'x+1/2,y+1/2,-z'
'x+1/2,-y,-z'
'-x+1/2,y,z'
'-x,y+1/2,-z'
'x,-y+1/2,z'
loop_
_atom_site_label
_atom_site_fract_x
_atom_site_fract_y
_atom_site_fract_z
_atom_site_occupancy
Rb1 0.2500 0.0346 0.1889 1
Tl1 0.2500 0.2500 0.6952 1
Mo1 0.2500 0.7500 0.7970 1
Cl1 0.0086 0.7500 0.5958 1
Cl2 0.0170 0.7500 0.0087 1
Cl3 0.2500 0.5246 0.7980 1
```

The 10 most intense peaks (2θ = 5–70°), low angle first:
Position (°2θ)	I_rel	hkl
15.98	34	1 0 1
16.19	21	0 2 0
21.03	24	0 0 2
22.82	100	1 2 1
24.23	34	2 0 0
32.28	43	2 0 2
32.71	29	0 4 0
33.32	24	2 1 2
36.28	22	2 3 1
46.62	23	2 4 2



Computed powder diffraction line list of Mo3S7Cl4 for λ = 1.5418 Å (Cu Kα), from a GGA-PBE-relaxed structure.

Structural model:
```
data_Mo3S7Cl4
_cell_length_a 10.0443
_cell_length_b 12.2548
_cell_length_c 14.3931
_cell_angle_alpha 90.00
_cell_angle_beta 119.87
_cell_angle_gamma 90.00
_space_group_name_H-M_alt 'P 1 21/c 1'
_space_group_IT_number 14
loop_
_space_group_symop_operation_xyz
'x,y,z'
'-x,-y,-z'
'-x,y+1/2,-z+1/2'
'x,-y+1/2,z+1/2'
loop_
_atom_site_label
_atom_site_fract_x
_atom_site_fract_y
_atom_site_fract_z
_atom_site_occupancy
Mo1 0.1056 0.1481 0.2752 1
Mo2 0.1196 0.1294 0.7762 1
Mo3 0.3517 0.2500 0.2762 1
S1 0.0906 0.2430 0.6350 1
S2 0.0928 0.2367 0.9060 1
S3 0.1051 0.7324 0.7384 1
S4 0.3178 0.0468 0.2682 1
S5 0.3433 0.0455 0.7703 1
S6 0.3706 0.1204 0.4085 1
S7 0.3871 0.1166 0.9099 1
Cl1 0.0571 0.5074 0.8738 1
Cl2 0.0880 0.5338 0.3755 1
Cl3 0.3676 0.7402 0.1260 1
Cl4 0.3995 0.2451 0.1218 1
```

The 10 most intense peaks (2θ = 5–70°), low angle first:
Position (°2θ)	I_rel	hkl
10.16	15	1 0 0
12.47	100	1 1 0
12.69	35	1 0 -2
14.19	81	0 0 2
14.46	20	0 2 0
14.61	33	1 1 -2
15.94	15	0 1 2
31.90	14	1 4 -2
39.14	17	2 4 -4
41.48	14	4 0 0



Computed powder diffraction line list of Tl2MoSCl5 for λ = 1.5418 Å (Cu Kα), from a GGA-PBE-relaxed structure.

Structural model:
```
data_Tl2MoSCl5
_cell_length_a 7.1726
_cell_length_b 7.1726
_cell_length_c 9.8029
_cell_angle_alpha 90.00
_cell_angle_beta 90.00
_cell_angle_gamma 90.00
_space_group_name_H-M_alt 'I 4 m m'
_space_group_IT_number 107
_space_group_name_Hall 'I 4 -2'
loop_
_atom_site_label
_atom_site_fract_x
_atom_site_fract_y
_atom_site_fract_z
_atom_site_occupancy
Tl1 0.0000 0.5000 0.0000 1
Mo1 0.0000 0.0000 0.2385 1
S1 0.0000 0.0000 0.0195 1
Cl1 0.0000 0.0000 0.4981 1
Cl2 0.2367 0.2367 0.2657 1
```

The 10 most intense peaks (2θ = 5–70°), low angle first:
Position (°2θ)	I_rel	hkl
15.31	25	1 0 1
17.49	31	1 1 0
24.83	51	2 0 0
25.27	100	1 1 2
30.90	88	2 0 2
35.40	57	2 2 0
36.67	25	0 0 4
43.99	47	3 1 2
51.88	35	2 2 4
60.76	23	4 2 2



Computed powder diffraction line list of MoSe2Cl12 for λ = 1.5418 Å (Cu Kα), from a GGA-PBE-relaxed structure.

Structural model:
```
data_MoSe2Cl12
_cell_length_a 12.7081
_cell_length_b 13.2435
_cell_length_c 22.0737
_cell_angle_alpha 90.00
_cell_angle_beta 90.00
_cell_angle_gamma 90.00
_space_group_name_H-M_alt 'F d d 2'
_space_group_IT_number 43
_space_group_name_Hall 'F 2 -2d'
loop_
_atom_site_label
_atom_site_fract_x
_atom_site_fract_y
_atom_site_fract_z
_atom_site_occupancy
Mo1 0.0000 0.0000 0.0000 1
Se1 0.9998 0.2342 0.4164 1
Cl1 0.1016 0.3187 0.9905 1
Cl2 0.1020 0.3223 0.8415 1
Cl3 0.1033 0.0777 0.9214 1
Cl4 0.1080 0.0769 0.0738 1
Cl5 0.1114 0.3519 0.4967 1
Cl6 0.1149 0.1093 0.4219 1
```

The 10 most intense peaks (2θ = 5–70°), low angle first:
Position (°2θ)	I_rel	hkl
10.45	34	1 1 1
15.61	33	0 2 2
16.09	100	2 0 2
21.69	20	1 3 1
25.25	31	2 2 4
30.44	24	2 4 0
31.17	49	2 2 6
39.30	20	4 4 0
39.89	35	4 2 6
48.05	26	0 6 6



Computed powder diffraction line list of SnMoCl6 for λ = 1.5418 Å (Cu Kα), from a GGA-PBE-relaxed structure.

Structural model:
```
data_SnMoCl6
_cell_length_a 11.4564
_cell_length_b 7.9465
_cell_length_c 9.7997
_cell_angle_alpha 90.00
_cell_angle_beta 95.20
_cell_angle_gamma 90.00
_space_group_name_H-M_alt 'C 1 2/c 1'
_space_group_IT_number 15
loop_
_space_group_symop_operation_xyz
'x,y,z'
'-x,-y,-z'
'-x,y,-z+1/2'
'x,-y,z+1/2'
'x+1/2,y+1/2,z'
'-x+1/2,-y+1/2,-z'
'-x+1/2,y+1/2,-z+1/2'
'x+1/2,-y+1/2,z+1/2'
loop_
_atom_site_label
_atom_site_fract_x
_atom_site_fract_y
_atom_site_fract_z
_atom_site_occupancy
Sn1 0.0000 0.0350 0.2500 1
Mo1 0.2500 0.2500 0.0000 1
Cl1 0.0786 0.3153 0.1175 1
Cl2 0.1453 0.2978 0.7871 1
Cl3 0.1759 0.0367 0.4864 1
```

The 10 most intense peaks (2θ = 5–70°), low angle first:
Position (°2θ)	I_rel	hkl
13.58	88	1 1 0
15.95	49	1 1 -1
16.74	100	1 1 1
22.88	55	2 0 -2
25.07	61	2 0 2
27.35	34	2 2 0
30.61	55	3 1 -2
34.77	35	1 3 0
35.81	41	1 3 -1
41.91	44	4 2 -2